# 1
The following is a computed powder diffractogram of Te2MoW3Se6. It was derived from a cell relaxed with PBE, using a wavelength of 1.5418 Å.
Lines closer than 0.1° are merged.

Cell and atoms:
Lattice parameters (Å, degrees): 3.3779 3.3779 38.5215 90.00 90.00 120.00
Element x y z (fractional)
Te  0.0000  0.0000  0.0000
Te  0.0000  0.0000  0.0977
Mo  0.6667  0.3333  0.0489
W  0.0000  0.0000  0.2368
W  0.0000  0.0000  0.6125
W  0.6667  0.3333  0.4246
Se  0.0000  0.0000  0.3814
Se  0.0000  0.0000  0.4678
Se  0.6667  0.3333  0.1935
Se  0.6667  0.3333  0.2800
Se  0.6667  0.3333  0.5693
Se  0.6667  0.3333  0.6557

Main lines, by intensity (5 to 70 degrees two-theta):
| d (Å) | Position (°2θ) | I/Imax |
| --- | --- | --- |
| 7.704 | 11.5 | 1000 |
| 2.500 | 35.9 | 759 |
| 2.082 | 43.5 | 481 |
| 2.924 | 30.6 | 386 |
| 1.689 | 54.3 | 278 |
| 6.420 | 13.8 | 232 |
| 12.841 | 6.9 | 228 |
| 2.004 | 45.2 | 177 |
| 2.735 | 32.7 | 133 |
| 1.400 | 66.8 | 123 |
| 1.650 | 55.7 | 113 |
| 1.834 | 49.7 | 77 |

# 2
The following is a computed powder diffractogram of RbTlF3. It was derived from a cell relaxed with PBE, using a wavelength of 1.5418 Å.
Lines closer than 0.1° are merged.

Cell and atoms:
Lattice parameters (Å, degrees): 4.7468 4.7492 4.7497 89.62 89.84 89.34
Element x y z (fractional)
Rb  0.0000  0.0000  0.0000
Tl  0.5060  0.4975  0.4978
F  0.0067  0.4797  0.4884
F  0.5004  0.9972  0.4987
F  0.5069  0.4973  0.9976

Main lines, by intensity (5 to 70 degrees two-theta):
| d (Å) | Position (°2θ) | I/Imax |
| --- | --- | --- |
| 3.373 | 26.4 | 1000 |
| 3.357 | 26.5 | 989 |
| 2.374 | 37.9 | 982 |
| 3.343 | 26.7 | 979 |
| 4.748 | 18.7 | 846 |
| 1.950 | 46.6 | 333 |
| 1.936 | 46.9 | 326 |
| 1.931 | 47.1 | 322 |
| 1.941 | 46.8 | 218 |
| 1.675 | 54.8 | 217 |
| 1.506 | 61.6 | 196 |
| 1.500 | 61.9 | 194 |

# 3
The following is a computed powder diffractogram of K12MgPb4O10. It was derived from a cell relaxed with PBE, using a wavelength of 1.5418 Å.
Lines closer than 0.1° are merged.

Cell and atoms:
Lattice parameters (Å, degrees): 6.4192 8.4364 12.3534 84.05 83.55 87.39
Element x y z (fractional)
K  0.0000  0.0000  0.0000
K  0.0117  0.8374  0.7592
K  0.1364  0.7525  0.2286
K  0.2240  0.8963  0.4847
K  0.3516  0.5346  0.7602
K  0.5462  0.2287  0.9758
K  0.5667  0.7693  0.9378
K  0.6127  0.4707  0.2211
K  0.6312  0.9154  0.2200
K  0.7422  0.7638  0.4801
K  0.8175  0.2486  0.4696
K  0.9848  0.2482  0.7461
Mg  0.7936  0.5747  0.6883
Pb  0.1208  0.1832  0.2213
Pb  0.3319  0.4789  0.5001
Pb  0.5547  0.0300  0.7053
Pb  0.9988  0.4914  0.9973
O  0.0848  0.6142  0.6095
O  0.3011  0.0179  0.1212
O  0.4304  0.6742  0.3749
O  0.6122  0.7669  0.7070
O  0.6200  0.4646  0.5937
O  0.7436  0.0364  0.8466
O  0.8181  0.4973  0.8499
O  0.8326  0.6776  0.0876
O  0.8675  0.2717  0.1011
O  0.9450  0.0023  0.3326

Main lines, by intensity (5 to 70 degrees two-theta):
| d (Å) | Position (°2θ) | I/Imax |
| --- | --- | --- |
| 5.416 | 16.4 | 1000 |
| 5.185 | 17.1 | 869 |
| 5.030 | 17.6 | 772 |
| 2.898 | 30.9 | 644 |
| 3.302 | 27.0 | 627 |
| 3.054 | 29.2 | 606 |
| 3.290 | 27.1 | 553 |
| 3.031 | 29.5 | 464 |
| 4.664 | 19.0 | 438 |
| 3.009 | 29.7 | 418 |
| 4.719 | 18.8 | 392 |
| 2.653 | 33.8 | 391 |

# 4
The following is a computed powder diffractogram of Pr2MgS4. It was derived from a cell relaxed with PBE, using a wavelength of 1.5418 Å.
Lines closer than 0.1° are merged.

Cell and atoms:
Lattice parameters (Å, degrees): 13.0424 3.9939 14.1799 90.00 90.00 90.00
Element x y z (fractional)
Pr  0.1229  0.2500  0.0740
Pr  0.1301  0.2500  0.7087
Pr  0.3699  0.7500  0.2087
Pr  0.3771  0.7500  0.5740
Pr  0.6229  0.2500  0.4260
Pr  0.6301  0.2500  0.7913
Pr  0.8699  0.7500  0.2913
Pr  0.8771  0.7500  0.9260
Mg  0.1050  0.7500  0.4646
Mg  0.3950  0.2500  0.9646
Mg  0.6050  0.7500  0.0354
Mg  0.8950  0.2500  0.5354
S  0.0002  0.2500  0.3870
S  0.9998  0.7500  0.6130
S  0.0244  0.2500  0.8867
S  0.2281  0.2500  0.5172
S  0.2315  0.2500  0.2441
S  0.2685  0.7500  0.7441
S  0.2719  0.7500  0.0172
S  0.4756  0.7500  0.3867
S  0.5002  0.2500  0.1130
S  0.4998  0.7500  0.8870
S  0.5244  0.2500  0.6133
S  0.7281  0.2500  0.9828
S  0.7315  0.2500  0.2559
S  0.7685  0.7500  0.7559
S  0.7719  0.7500  0.4828
S  0.9756  0.7500  0.1133

Main lines, by intensity (5 to 70 degrees two-theta):
| d (Å) | Position (°2θ) | I/Imax |
| --- | --- | --- |
| 3.406 | 26.2 | 1000 |
| 3.827 | 23.2 | 914 |
| 6.229 | 14.2 | 843 |
| 2.717 | 33.0 | 549 |
| 2.228 | 40.5 | 508 |
| 3.051 | 29.3 | 297 |
| 2.277 | 39.6 | 283 |
| 2.880 | 31.1 | 282 |
| 1.997 | 45.4 | 260 |
| 2.010 | 45.1 | 251 |
| 1.975 | 46.0 | 236 |
| 2.771 | 32.3 | 236 |

# 5
The following is a computed powder diffractogram of CuPO5. It was derived from a cell relaxed with PBE, using a wavelength of 1.5418 Å.
Lines closer than 0.1° are merged.

Cell and atoms:
Lattice parameters (Å, degrees): 7.0545 7.5470 9.3468 90.00 90.00 90.00
Element x y z (fractional)
Cu  0.2070  0.0912  0.1259
Cu  0.2930  0.9088  0.6259
Cu  0.7070  0.4088  0.8741
Cu  0.7930  0.5912  0.3741
P  0.0856  0.6805  0.8988
P  0.4144  0.3195  0.3988
P  0.5856  0.8195  0.1012
P  0.9144  0.1805  0.6012
O  0.0136  0.5372  0.2970
O  0.0487  0.0351  0.6402
O  0.1090  0.7480  0.0461
O  0.2024  0.1712  0.9501
O  0.2041  0.7451  0.7780
O  0.2959  0.2549  0.2780
O  0.2976  0.8288  0.4501
O  0.3910  0.2520  0.5461
O  0.4513  0.9649  0.1402
O  0.4864  0.4628  0.7970
O  0.5136  0.9628  0.7030
O  0.5487  0.4649  0.3598
O  0.6090  0.7520  0.9539
O  0.7024  0.3288  0.0499
O  0.7041  0.7549  0.2220
O  0.7959  0.2451  0.7220
O  0.7976  0.6712  0.5499
O  0.8910  0.2480  0.4539
O  0.9513  0.5351  0.8598
O  0.9864  0.0372  0.2030

Main lines, by intensity (5 to 70 degrees two-theta):
| d (Å) | Position (°2θ) | I/Imax |
| --- | --- | --- |
| 3.973 | 22.4 | 1000 |
| 5.154 | 17.2 | 770 |
| 3.135 | 28.5 | 581 |
| 4.513 | 19.7 | 571 |
| 3.300 | 27.0 | 330 |
| 3.024 | 29.5 | 284 |
| 3.327 | 26.8 | 245 |
| 3.896 | 22.8 | 225 |
| 2.711 | 33.0 | 178 |
| 2.484 | 36.2 | 162 |
| 3.462 | 25.7 | 161 |
| 2.429 | 37.0 | 144 |

# 6
The following is a computed powder diffractogram of Nb12TlTe16. It was derived from a cell relaxed with PBE, using a wavelength of 1.5418 Å.
Lines closer than 0.1° are merged.

Cell and atoms:
Lattice parameters (Å, degrees): 11.4646 11.4646 10.8689 118.27 118.27 37.31
Element x y z (fractional)
Nb  0.0002  0.0002  0.9997
Nb  0.0041  0.5063  0.8975
Nb  0.1424  0.1424  0.8755
Nb  0.1488  0.6487  0.7759
Nb  0.2045  0.2045  0.2860
Nb  0.4431  0.9455  0.4890
Nb  0.5000  0.5000  0.0000
Nb  0.5063  0.0041  0.8975
Nb  0.6437  0.6437  0.8772
Nb  0.6487  0.1488  0.7759
Nb  0.7053  0.7053  0.2850
Nb  0.9455  0.4431  0.4890
Tl  0.4494  0.4494  0.3874
Te  0.0630  0.5635  0.4517
Te  0.0857  0.0857  0.3228
Te  0.1668  0.6678  0.0507
Te  0.2794  0.2794  0.1127
Te  0.2827  0.2827  0.7208
Te  0.3662  0.8660  0.0540
Te  0.3675  0.8680  0.6595
Te  0.4818  0.4818  0.7265
Te  0.5635  0.0630  0.4517
Te  0.5867  0.5867  0.3222
Te  0.6678  0.1668  0.0507
Te  0.7808  0.7808  0.1150
Te  0.7827  0.7827  0.7206
Te  0.8660  0.3662  0.0540
Te  0.8680  0.3675  0.6595
Te  0.9816  0.9816  0.7250

Main lines, by intensity (5 to 70 degrees two-theta):
| d (Å) | Position (°2θ) | I/Imax |
| --- | --- | --- |
| 2.553 | 35.1 | 1000 |
| 2.610 | 34.4 | 744 |
| 2.893 | 30.9 | 654 |
| 3.137 | 28.5 | 490 |
| 2.183 | 41.4 | 366 |
| 9.410 | 9.4 | 359 |
| 1.860 | 49.0 | 280 |
| 1.500 | 61.8 | 267 |
| 2.127 | 42.5 | 264 |
| 3.040 | 29.4 | 260 |
| 1.834 | 49.7 | 240 |
| 2.053 | 44.1 | 219 |

# 7
The following is a computed powder diffractogram of NaTi2Ga5O12. It was derived from a cell relaxed with PBE, using a wavelength of 1.5418 Å.
Lines closer than 0.1° are merged.

Cell and atoms:
Lattice parameters (Å, degrees): 9.4636 15.9364 3.0274 90.00 90.00 90.00
Element x y z (fractional)
Na  0.0000  0.0000  0.0000
Na  0.5000  0.5000  0.0000
Ti  0.2287  0.3572  0.0000
Ti  0.2713  0.8572  0.0000
Ti  0.7287  0.1428  0.0000
Ti  0.7713  0.6428  0.0000
Ga  0.0000  0.5000  0.5000
Ga  0.0086  0.1996  0.5000
Ga  0.1945  0.6471  0.0000
Ga  0.3055  0.1471  0.0000
Ga  0.4914  0.6996  0.5000
Ga  0.5000  0.0000  0.5000
Ga  0.5086  0.3004  0.5000
Ga  0.6945  0.8529  0.0000
Ga  0.8055  0.3529  0.0000
Ga  0.9914  0.8004  0.5000
O  0.1064  0.4464  0.0000
O  0.1080  0.1438  0.0000
O  0.1133  0.7550  0.0000
O  0.1382  0.5918  0.5000
O  0.1409  0.2964  0.5000
O  0.1438  0.8953  0.5000
O  0.3562  0.3953  0.5000
O  0.3591  0.7964  0.5000
O  0.3618  0.0918  0.5000
O  0.3867  0.2550  0.0000
O  0.3920  0.6438  0.0000
O  0.3936  0.9464  0.0000
O  0.6064  0.0536  0.0000
O  0.6080  0.3562  0.0000
O  0.6133  0.7450  0.0000
O  0.6382  0.9082  0.5000
O  0.6409  0.2036  0.5000
O  0.6438  0.6047  0.5000
O  0.8562  0.1047  0.5000
O  0.8591  0.7036  0.5000
O  0.8618  0.4082  0.5000
O  0.8867  0.2450  0.0000
O  0.8920  0.8562  0.0000
O  0.8936  0.5536  0.0000

Main lines, by intensity (5 to 70 degrees two-theta):
| d (Å) | Position (°2θ) | I/Imax |
| --- | --- | --- |
| 3.048 | 29.3 | 1000 |
| 2.550 | 35.2 | 730 |
| 2.712 | 33.0 | 698 |
| 2.534 | 35.4 | 559 |
| 4.632 | 19.2 | 517 |
| 7.968 | 11.1 | 498 |
| 1.536 | 60.2 | 446 |
| 1.576 | 58.6 | 415 |
| 8.137 | 10.9 | 320 |
| 2.410 | 37.3 | 311 |
| 1.410 | 66.3 | 272 |
| 1.840 | 49.6 | 261 |